(1)
HfPaAsP: calculated powder XRD pattern (Cu Ka), based on a crystal structure in Alexandria, relaxed with GGA-PBE.

The 10 most intense peaks (2θ = 5–70°), sorted by position:
2theta	I (rel.)	(hkl)
25.85	27	0 0 6
27.78	69	1 0 1
28.79	20	0 1 2
32.54	43	1 0 4
35.11	100	0 1 5
41.30	31	1 0 7
48.51	48	1 1 0
52.44	18	1 0 10
55.78	21	1 1 6
61.28	20	2 0 5

Unit cell a=3.7532 b=3.7532 c=20.6799 alpha=90.00 beta=90.00 gamma=120.00
Space group R3m (No. 160, hexagonal axes)
Inequivalent atoms, fractional coordinates:
Hf  0.0000  0.0000  0.0000 (multiplicity 3)
Pa  0.0000  0.0000  0.1796 (multiplicity 3)
As  0.0000  0.0000  0.4159 (multiplicity 3)
P  0.0000  0.0000  0.5974 (multiplicity 3)


(2)
HfPa2As3: calculated powder XRD pattern (Cu Ka), based on a crystal structure in Alexandria, relaxed with GGA-PBE.

The 10 most intense peaks (2θ = 5–70°), sorted by position:
2theta	I (rel.)	(hkl)
27.20	60	1 0 3
31.39	100	1 1 0
31.73	48	0 0 6
44.99	38	2 0 0
45.24	73	1 1 6
53.36	20	2 1 3
53.81	10	1 0 9
56.10	39	2 0 6
65.51	12	2 2 0
66.29	6	0 0 12

Unit cell a=4.030 b=4.030 c=16.920 alpha=90.00 beta=90.00 gamma=90.00
Space group I4/mmm (No. 139)
Inequivalent atoms, fractional coordinates:
Hf  0.000  0.000  0.000 (multiplicity 2)
Pa  0.000  0.000  0.333 (multiplicity 4)
As  0.000  0.000  0.160 (multiplicity 4)
As  0.000  0.000  0.500 (multiplicity 2)